Ca2Ni7: computed XRD peak list (Cu Kα), based on the GGA-PBE geometry in the Materials Project.
Intensities are scaled so that the largest is 100.

Most intense lines, 2θ = 10–90°, low angle first:
two_theta	intensity
20.71	41
36.01	18
41.90	25
42.77	100
45.55	38
46.68	36
48.00	11
49.25	23
69.39	21
76.36	22

Structural model:
```
data_Ca2Ni7
_cell_length_a 4.9885
_cell_length_b 4.9885
_cell_length_c 35.8526
_cell_angle_alpha 90.00
_cell_angle_beta 90.00
_cell_angle_gamma 120.00
_symmetry_space_group_name_H-M 'R -3 m'
_symmetry_Int_Tables_number 166
_symmetry_space_group_name_Hall '-R 3 2"'
loop_
_atom_site_label
_atom_site_fract_x
_atom_site_fract_y
_atom_site_fract_z
Ca1 0.0000 0.0000 0.0514
Ca2 0.0000 0.0000 0.1482
Ni1 0.0000 0.0000 0.2782
Ni2 0.0000 0.0000 0.3877
Ni3 0.0000 0.0000 0.5000
Ni4 0.0000 0.5000 0.0000
Ni5 0.0012 0.5006 0.1091
```



CaNi2: computed XRD peak list (Cu Kα), based on the GGA-PBE geometry in the Materials Project.
Intensities are scaled so that the largest is 100.

Most intense lines, 2θ = 10–90°, low angle first:
two_theta	intensity
21.45	26
35.38	16
41.75	100
43.70	55
50.90	12
55.85	6
63.52	5
67.87	28
74.85	25
89.58	10

Structural model:
Cell lengths 7.176, 7.176, 7.176 Å; angles 90.00, 90.00, 90.00 degrees
Space group Fd-3m (No. 227, origin choice 2)
Asymmetric unit:
Ca 0.125 0.125 0.125 (multiplicity 8)
Ni 0.000 0.000 0.500 (multiplicity 16)



CaNi: computed XRD peak list (Cu Kα), based on the GGA-PBE geometry in the Materials Project.
Intensities are scaled so that the largest is 100.

Most intense lines, 2θ = 10–90°, low angle first:
two_theta	intensity
26.01	6
37.11	100
45.87	2
53.49	16
60.41	2
66.89	31
79.05	9
84.91	1

Structural model:
```
data_CaNi
_cell_length_a 3.426
_cell_length_b 3.426
_cell_length_c 3.426
_cell_angle_alpha 90.00
_cell_angle_beta 90.00
_cell_angle_gamma 90.00
_symmetry_space_group_name_H-M 'P m -3 m'
_symmetry_Int_Tables_number 221
_symmetry_space_group_name_Hall '-P 4 2 3'
loop_
_atom_site_label
_atom_site_fract_x
_atom_site_fract_y
_atom_site_fract_z
Ca1 0.000 0.000 0.000
Ni1 0.500 0.500 0.500
```



CaNi2P2: computed XRD peak list (Cu Kα), based on the GGA-PBE geometry in the Materials Project.
Intensities are scaled so that the largest is 100.

Most intense lines, 2θ = 10–90°, low angle first:
two_theta	intensity
18.92	36
36.80	25
37.77	100
46.45	48
50.58	11
51.07	29
67.79	14
69.00	14
80.30	19
89.63	12

Structural model:
```
data_CaNi2P2
_cell_length_a 3.910
_cell_length_b 3.910
_cell_length_c 9.381
_cell_angle_alpha 90.00
_cell_angle_beta 90.00
_cell_angle_gamma 90.00
_symmetry_space_group_name_H-M 'I 4/m m m'
_symmetry_Int_Tables_number 139
_symmetry_space_group_name_Hall '-I 4 2'
loop_
_atom_site_label
_atom_site_fract_x
_atom_site_fract_y
_atom_site_fract_z
Ca1 0.000 0.000 0.000
Ni1 0.000 0.500 0.250
P1 0.000 0.000 0.377
```



Ca5Ni9P7: computed XRD peak list (Cu Kα), based on the GGA-PBE geometry in the Materials Project.
Intensities are scaled so that the largest is 100.

Most intense lines, 2θ = 10–90°, low angle first:
two_theta	intensity
18.44	15
36.89	100
43.43	13
45.81	28
47.31	24
47.55	15
49.78	16
50.16	15
69.33	9
71.41	10

Structural model:
```
data_Ca5Ni9P7
_cell_length_a 9.6245
_cell_length_b 9.6245
_cell_length_c 3.8431
_cell_angle_alpha 90.00
_cell_angle_beta 90.00
_cell_angle_gamma 120.00
_symmetry_space_group_name_H-M 'P -6'
_symmetry_Int_Tables_number 174
_symmetry_space_group_name_Hall 'P -6'
loop_
_atom_site_label
_atom_site_fract_x
_atom_site_fract_y
_atom_site_fract_z
Ca1 0.0000 0.0000 0.0000
Ca2 0.2125 0.7772 0.0000
Ca3 0.6667 0.3333 0.5000
Ni1 0.0290 0.4963 0.5000
Ni2 0.2841 0.2397 0.5000
Ni3 0.3913 0.1200 0.0000
P1 0.0049 0.2443 0.5000
P2 0.3333 0.6667 0.5000
P3 0.4736 0.3819 0.0000
```



Ca2Ni7P4: computed XRD peak list (Cu Kα), based on the GGA-PBE geometry in the Materials Project.
Intensities are scaled so that the largest is 100.

Most intense lines, 2θ = 10–90°, low angle first:
two_theta	intensity
12.88	47
19.68	43
36.98	100
38.17	97
40.83	52
43.84	46
47.42	27
47.52	38
49.40	64
49.96	38

Structural model:
```
data_Ca2Ni7P4
_cell_length_a 3.690
_cell_length_b 9.194
_cell_length_c 10.356
_cell_angle_alpha 90.00
_cell_angle_beta 90.00
_cell_angle_gamma 90.00
_symmetry_space_group_name_H-M 'P m n 21'
_symmetry_Int_Tables_number 31
_symmetry_space_group_name_Hall 'P 2ac -2'
loop_
_atom_site_label
_atom_site_fract_x
_atom_site_fract_y
_atom_site_fract_z
Ca1 0.000 0.061 0.000
Ca2 0.000 0.438 0.784
Ni1 0.000 0.059 0.306
Ni2 0.000 0.095 0.701
Ni3 0.000 0.305 0.206
Ni4 0.000 0.415 0.479
Ni5 0.000 0.684 0.519
Ni6 0.000 0.729 0.114
Ni7 0.000 0.748 0.879
P1 0.000 0.181 0.497
P2 0.000 0.479 0.064
P3 0.000 0.812 0.317
P4 0.000 0.844 0.689
```



CaNi2S4: computed XRD peak list (Cu Kα), based on the GGA-PBE geometry in the Materials Project.
Intensities are scaled so that the largest is 100.

Most intense lines, 2θ = 10–90°, low angle first:
two_theta	intensity
15.08	100
24.35	23
27.73	36
29.77	73
32.95	34
36.40	56
43.59	37
47.70	52
49.90	71
52.42	32

Structural model:
```
data_CaNi2S4
_cell_length_a 6.982
_cell_length_b 6.982
_cell_length_c 10.873
_cell_angle_alpha 90.00
_cell_angle_beta 90.00
_cell_angle_gamma 90.00
_symmetry_space_group_name_H-M 'I 41/a m d'
_symmetry_Int_Tables_number 141
loop_
_symmetry_equiv_pos_as_xyz
'x,y,z'
'-x,-y,-z'
'-y+1/4,x+3/4,z+1/4'
'y+1/4,-x+3/4,-z+1/4'
'-x+1/2,-y,z+1/2'
'x+1/2,y,-z+1/2'
'y+1/4,-x+1/4,z+3/4'
'-y+1/4,x+1/4,-z+3/4'
'x,-y,-z'
'-x,y,z'
'-y+1/4,-x+1/4,-z+3/4'
'y+1/4,x+1/4,z+3/4'
'-x+1/2,y,-z+1/2'
'x+1/2,-y,z+1/2'
'y+1/4,x+3/4,-z+1/4'
'-y+1/4,-x+3/4,z+1/4'
'x+1/2,y+1/2,z+1/2'
'-x+1/2,-y+1/2,-z+1/2'
'-y+3/4,x+1/4,z+3/4'
'y+3/4,-x+1/4,-z+3/4'
'-x,-y+1/2,z'
'x,y+1/2,-z'
'y+3/4,-x+3/4,z+1/4'
'-y+3/4,x+3/4,-z+1/4'
'x+1/2,-y+1/2,-z+1/2'
'-x+1/2,y+1/2,z+1/2'
'-y+3/4,-x+3/4,-z+1/4'
'y+3/4,x+3/4,z+1/4'
'-x,y+1/2,-z'
'x,-y+1/2,z'
'y+3/4,x+1/4,-z+3/4'
'-y+3/4,-x+1/4,z+3/4'
loop_
_atom_site_label
_atom_site_fract_x
_atom_site_fract_y
_atom_site_fract_z
Ca1 0.000 0.250 0.375
Ni1 0.000 0.000 0.000
S1 0.000 0.041 0.776
```



CaNi2S4: computed XRD peak list (Cu Kα), based on the GGA-PBE geometry in the Materials Project.
Intensities are scaled so that the largest is 100.

Most intense lines, 2θ = 10–90°, low angle first:
two_theta	intensity
14.78	100
34.56	62
35.43	58
35.92	57
48.64	18
50.55	17
50.85	18
51.03	17
51.65	18
51.99	17

Structural model:
```
data_CaNi2S4
_cell_length_a 7.039
_cell_length_b 7.087
_cell_length_c 7.165
_cell_angle_alpha 89.13
_cell_angle_beta 60.88
_cell_angle_gamma 61.59
_symmetry_space_group_name_H-M 'P -1'
_symmetry_Int_Tables_number 2
_symmetry_space_group_name_Hall '-P 1'
loop_
_atom_site_label
_atom_site_fract_x
_atom_site_fract_y
_atom_site_fract_z
Ca1 0.000 0.000 0.000
Ca2 0.500 0.500 0.500
Ni1 0.000 0.000 0.500
Ni2 0.000 0.500 0.500
Ni3 0.500 0.000 0.000
Ni4 0.500 0.000 0.500
S1 0.024 0.238 0.273
S2 0.058 0.221 0.681
S3 0.455 0.818 0.274
S4 0.474 0.244 0.244
```